Structure and simulated XRD peak list of Ac6Au3C (a crystal structure in Alexandria, relaxed with PBE; Cu Kα (λ = 1.5418 Å)).

Cell and atoms:
abc: 7.234 8.181 13.224
angles: 90.00 121.61 90.00
Fractional positions:
Ac (0.087, 0.208, 0.436)
Ac (0.087, 0.292, 0.936)
Ac (0.241, 0.663, 0.429)
Ac (0.241, 0.837, 0.929)
Ac (0.372, 0.042, 0.229)
Ac (0.372, 0.458, 0.729)
Ac (0.628, 0.542, 0.271)
Ac (0.628, 0.958, 0.771)
Ac (0.759, 0.163, 0.071)
Ac (0.759, 0.337, 0.571)
Ac (0.913, 0.708, 0.064)
Ac (0.913, 0.792, 0.564)
Au (0.176, 0.106, 0.734)
Au (0.176, 0.394, 0.234)
Au (0.500, 0.000, 0.500)
Au (0.500, 0.500, 0.000)
Au (0.824, 0.606, 0.766)
Au (0.824, 0.894, 0.266)
C (0.000, 0.000, 0.000)
C (0.000, 0.500, 0.500)

Most intense lines, 10 to 80 degrees two-theta, sorted by position:
two_theta	d/Å	I (rel.)	(hkl)
26.15	3.408	64	1 2 0
26.95	3.308	76	0 2 2
27.06	3.296	76	1 0 -4
27.93	3.194	100	2 1 -1
29.51	3.027	39	1 2 1
31.75	2.818	44	0 0 4
35.17	2.552	40	1 3 -1
42.65	2.120	44	3 1 -5